# 1
Starting from DFT lattice parameters and positions (GGA+U), the X-ray powder pattern of GdNiO3 was simulated for copper Kα.
Neutral-atom scattering factors, no anomalous dispersion.

Structural model:
Lattice parameters (Å, degrees): 5.568 7.589 5.307 90.00 90.00 90.00
Fractional positions:
1 Gd 0.067 0.250 0.017
2 Gd 0.433 0.750 0.517
3 Gd 0.567 0.250 0.483
4 Gd 0.933 0.750 0.983
5 Ni 0.000 0.000 0.500
6 Ni 0.000 0.500 0.500
7 Ni 0.500 0.000 0.000
8 Ni 0.500 0.500 0.000
9 O 0.026 0.750 0.405
10 O 0.200 0.549 0.800
11 O 0.200 0.951 0.800
12 O 0.300 0.049 0.300
13 O 0.300 0.451 0.300
14 O 0.474 0.250 0.905
15 O 0.526 0.750 0.095
16 O 0.700 0.549 0.700
17 O 0.700 0.951 0.700
18 O 0.800 0.049 0.200
19 O 0.800 0.451 0.200
20 O 0.974 0.250 0.595

Largest 12 diffraction maxima, by intensity, 10 to 80 degrees two-theta:
33.19°, rel. 100; 33.78°, rel. 25; 60.05°, rel. 21; 26.00°, rel. 20; 32.15°, rel. 19; 47.33°, rel. 19; 53.69°, rel. 17; 47.95°, rel. 15; 23.15°, rel. 14; 34.31°, rel. 14; 48.91°, rel. 12; 59.94°, rel. 11



# 2
Starting from DFT lattice parameters and positions (GGA+U), the X-ray powder pattern of Gd2NiO4 was simulated for copper Kα.
Neutral-atom scattering factors, no anomalous dispersion.

Structural model:
Lattice parameters (Å, degrees): 6.589 6.589 6.589 146.11 146.11 48.68
Fractional positions:
1 Gd 0.136 0.136 0.000
2 Gd 0.864 0.864 0.000
3 Ni 0.500 0.500 0.000
4 O 0.000 0.500 0.500
5 O 0.319 0.319 0.000
6 O 0.500 0.000 0.500
7 O 0.681 0.681 0.000

Largest 12 diffraction maxima, by intensity, 10 to 80 degrees two-theta:
32.30°, rel. 100; 32.98°, rel. 78; 47.34°, rel. 38; 58.47°, rel. 38; 24.33°, rel. 36; 45.01°, rel. 34; 44.49°, rel. 24; 78.83°, rel. 23; 29.76°, rel. 15; 66.98°, rel. 13; 58.97°, rel. 12; 69.18°, rel. 12



# 3
Starting from DFT lattice parameters and positions (GGA+U), the X-ray powder pattern of Sr2Gd2TlNi2O9 was simulated for copper Kα.
Neutral-atom scattering factors, no anomalous dispersion.

Structural model:
Lattice parameters (Å, degrees): 15.033 3.811 15.029 82.78 14.57 82.66
Fractional positions:
1 Sr 0.085 0.915 0.085
2 Sr 0.915 0.085 0.915
3 Gd 0.197 0.791 0.209
4 Gd 0.791 0.197 0.803
5 Tl 0.537 0.537 0.463
6 Ni 0.347 0.644 0.356
7 Ni 0.644 0.347 0.653
8 O 0.147 0.344 0.156
9 O 0.273 0.715 0.285
10 O 0.344 0.147 0.354
11 O 0.422 0.564 0.436
12 O 0.564 0.422 0.578
13 O 0.646 0.844 0.656
14 O 0.715 0.273 0.727
15 O 0.844 0.646 0.853
16 O 0.973 0.973 0.027

Largest 12 diffraction maxima, by intensity, 10 to 80 degrees two-theta:
31.62°, rel. 100; 33.39°, rel. 35; 25.05°, rel. 35; 33.10°, rel. 34; 47.73°, rel. 32; 58.57°, rel. 18; 58.20°, rel. 17; 45.65°, rel. 13; 46.49°, rel. 13; 45.43°, rel. 12; 78.68°, rel. 12; 30.22°, rel. 12



# 4
Starting from DFT lattice parameters and positions (GGA+U), the X-ray powder pattern of RbGdW2O8 was simulated for copper Kα.
Neutral-atom scattering factors, no anomalous dispersion.

Structural model:
Lattice parameters (Å, degrees): 7.695 7.695 7.530 117.39 117.39 88.91
Fractional positions:
1 Rb 0.202 0.798 0.750
2 Rb 0.798 0.202 0.250
3 Gd 0.224 0.776 0.250
4 Gd 0.776 0.224 0.750
5 W 0.301 0.311 0.283
6 W 0.311 0.301 0.783
7 W 0.689 0.699 0.217
8 W 0.699 0.689 0.717
9 O 0.047 0.220 0.694
10 O 0.062 0.372 0.128
11 O 0.220 0.047 0.194
12 O 0.249 0.377 0.560
13 O 0.372 0.062 0.628
14 O 0.372 0.590 0.032
15 O 0.377 0.249 0.060
16 O 0.410 0.628 0.468
17 O 0.590 0.372 0.532
18 O 0.623 0.751 0.940
19 O 0.628 0.410 0.968
20 O 0.628 0.938 0.372
21 O 0.751 0.623 0.440
22 O 0.780 0.953 0.806
23 O 0.938 0.628 0.872
24 O 0.953 0.780 0.306

Largest 12 diffraction maxima, by intensity, 10 to 80 degrees two-theta:
26.93°, rel. 100; 28.96°, rel. 81; 31.07°, rel. 33; 33.06°, rel. 21; 27.77°, rel. 20; 46.14°, rel. 18; 33.25°, rel. 18; 48.70°, rel. 17; 55.15°, rel. 16; 16.45°, rel. 16; 32.81°, rel. 15; 53.66°, rel. 15



# 5
Starting from DFT lattice parameters and positions (GGA+U), the X-ray powder pattern of GdTlW2O8 was simulated for copper Kα.
Neutral-atom scattering factors, no anomalous dispersion.

Structural model:
Lattice parameters (Å, degrees): 7.678 7.678 7.518 117.30 117.30 89.04
Fractional positions:
1 Gd 0.224 0.776 0.750
2 Gd 0.776 0.224 0.250
3 Tl 0.203 0.797 0.250
4 Tl 0.797 0.203 0.750
5 W 0.301 0.311 0.779
6 W 0.311 0.301 0.279
7 W 0.689 0.699 0.721
8 W 0.699 0.689 0.221
9 O 0.048 0.213 0.190
10 O 0.067 0.379 0.626
11 O 0.213 0.048 0.690
12 O 0.244 0.381 0.058
13 O 0.370 0.586 0.532
14 O 0.379 0.067 0.126
15 O 0.381 0.244 0.558
16 O 0.414 0.630 0.968
17 O 0.586 0.370 0.032
18 O 0.619 0.756 0.442
19 O 0.621 0.933 0.874
20 O 0.630 0.414 0.468
21 O 0.756 0.619 0.942
22 O 0.787 0.952 0.310
23 O 0.933 0.621 0.374
24 O 0.952 0.787 0.810

Largest 12 diffraction maxima, by intensity, 10 to 80 degrees two-theta:
26.98°, rel. 100; 29.00°, rel. 75; 31.08°, rel. 33; 27.85°, rel. 19; 33.12°, rel. 18; 32.92°, rel. 16; 46.18°, rel. 16; 55.19°, rel. 15; 48.83°, rel. 15; 33.29°, rel. 15; 53.74°, rel. 14; 50.35°, rel. 12



# 6
Starting from DFT lattice parameters and positions (GGA+U), the X-ray powder pattern of Gd2V2O7 was simulated for copper Kα.
Neutral-atom scattering factors, no anomalous dispersion.

Structural model:
Lattice parameters (Å, degrees): 6.847 7.043 7.048 85.07 83.62 62.92
Fractional positions:
1 Gd 0.229 0.236 0.428
2 Gd 0.246 0.826 0.847
3 Gd 0.754 0.174 0.153
4 Gd 0.771 0.764 0.572
5 V 0.226 0.345 0.934
6 V 0.304 0.722 0.335
7 V 0.696 0.278 0.665
8 V 0.774 0.655 0.066
9 O 0.027 0.639 0.887
10 O 0.134 0.924 0.168
11 O 0.144 0.598 0.461
12 O 0.242 0.171 0.766
13 O 0.372 0.858 0.514
14 O 0.398 0.241 0.141
15 O 0.449 0.441 0.808
16 O 0.551 0.559 0.192
17 O 0.602 0.759 0.859
18 O 0.628 0.142 0.486
19 O 0.758 0.829 0.234
20 O 0.856 0.402 0.539
21 O 0.866 0.076 0.832
22 O 0.973 0.361 0.113

Largest 12 diffraction maxima, by intensity, 10 to 80 degrees two-theta:
30.45°, rel. 100; 28.38°, rel. 91; 29.40°, rel. 87; 18.57°, rel. 75; 28.49°, rel. 64; 39.92°, rel. 50; 31.22°, rel. 35; 27.44°, rel. 32; 46.10°, rel. 26; 34.56°, rel. 25; 31.76°, rel. 23; 45.84°, rel. 23



# 7
Starting from DFT lattice parameters and positions (GGA+U), the X-ray powder pattern of GdVO3 was simulated for copper Kα.
Neutral-atom scattering factors, no anomalous dispersion.

Structural model:
Lattice parameters (Å, degrees): 5.699 7.728 5.411 90.00 90.00 90.00
Fractional positions:
1 Gd 0.067 0.250 0.021
2 Gd 0.433 0.750 0.521
3 Gd 0.567 0.250 0.479
4 Gd 0.933 0.750 0.979
5 V 0.000 0.000 0.500
6 V 0.000 0.500 0.500
7 V 0.500 0.000 0.000
8 V 0.500 0.500 0.000
9 O 0.036 0.750 0.389
10 O 0.202 0.556 0.810
11 O 0.202 0.944 0.810
12 O 0.298 0.056 0.310
13 O 0.298 0.444 0.310
14 O 0.464 0.250 0.889
15 O 0.536 0.750 0.111
16 O 0.702 0.556 0.690
17 O 0.702 0.944 0.690
18 O 0.798 0.056 0.190
19 O 0.798 0.444 0.190
20 O 0.964 0.250 0.611

Largest 12 diffraction maxima, by intensity, 10 to 80 degrees two-theta:
32.52°, rel. 100; 58.76°, rel. 33; 22.66°, rel. 25; 33.11°, rel. 25; 25.46°, rel. 23; 52.41°, rel. 21; 31.40°, rel. 18; 46.28°, rel. 17; 23.02°, rel. 17; 33.52°, rel. 16; 47.83°, rel. 15; 47.04°, rel. 15



# 8
Starting from DFT lattice parameters and positions (GGA+U), the X-ray powder pattern of Gd2V2O7 was simulated for copper Kα.
Neutral-atom scattering factors, no anomalous dispersion.

Structural model:
Lattice parameters (Å, degrees): 7.204 7.204 7.204 60.00 60.00 60.00
Fractional positions:
1 Gd 0.000 0.000 0.000
2 Gd 0.000 0.000 0.500
3 Gd 0.000 0.500 0.000
4 Gd 0.500 0.000 0.000
5 V 0.000 0.500 0.500
6 V 0.500 0.000 0.500
7 V 0.500 0.500 0.000
8 V 0.500 0.500 0.500
9 O 0.125 0.125 0.125
10 O 0.171 0.171 0.579
11 O 0.171 0.579 0.171
12 O 0.171 0.579 0.579
13 O 0.421 0.421 0.829
14 O 0.421 0.829 0.421
15 O 0.421 0.829 0.829
16 O 0.579 0.171 0.171
17 O 0.579 0.171 0.579
18 O 0.579 0.579 0.171
19 O 0.829 0.421 0.421
20 O 0.829 0.421 0.829
21 O 0.829 0.829 0.421
22 O 0.875 0.875 0.875

Largest 12 diffraction maxima, by intensity, 10 to 80 degrees two-theta:
30.39°, rel. 100; 50.69°, rel. 48; 60.25°, rel. 41; 35.24°, rel. 29; 15.06°, rel. 27; 38.52°, rel. 20; 29.07°, rel. 15; 46.30°, rel. 10; 63.23°, rel. 9; 53.19°, rel. 8; 74.51°, rel. 7; 65.42°, rel. 4